For Li6Mg12Ag, a cell relaxed with PBE gives the computed X-ray powder pattern in this record (a wavelength of 1.5418 Å).

Most intense lines, 15 to 90 degrees two-theta, in order of rising 2θ:
2θ 23.30, intensity 26.0
2θ 24.79, intensity 14.4
2θ 26.37, intensity 12.5
2θ 29.96, intensity 22.7
2θ 35.47, intensity 100.0
2θ 35.69, intensity 30.8
2θ 36.51, intensity 13.7
2θ 38.17, intensity 13.4
2θ 41.26, intensity 65.0
2θ 59.62, intensity 21.6
2θ 59.93, intensity 24.0
2θ 71.46, intensity 24.3

Atomic structure:
```
Li6Mg12Ag
1.0
6.7597 3.9027 2.5155
-6.7597 3.9027 2.5155
0.0000 -7.8054 2.5155
Li Mg Ag
6 12 1
Cartesian
-2.1321 -2.8932 2.5504 Li
-1.4395 3.2931 2.5504 Li
-3.5716 0.3999 4.9961 Li
3.5716 -0.3999 2.5504 Li
1.4395 -3.2931 4.9961 Li
2.1321 2.8932 4.9961 Li
-4.2668 2.0705 2.5288 Mg
0.3402 -4.7304 2.5288 Mg
-1.7856 0.1855 2.5011 Mg
-3.9265 -2.6599 5.0177 Mg
0.7321 -1.6391 2.5011 Mg
1.0534 1.4536 2.5011 Mg
-1.0534 -1.4536 5.0454 Mg
-0.7321 1.6391 5.0454 Mg
3.9265 2.6599 2.5288 Mg
1.7856 -0.1855 5.0454 Mg
-0.3402 4.7304 5.0177 Mg
4.2668 -2.0705 5.0177 Mg
0.0000 0.0000 0.0000 Ag
```

For Li9Mg4Ag, a cell relaxed with PBE gives the computed X-ray powder pattern in this record (a wavelength of 1.5418 Å).

Most intense lines, 15 to 90 degrees two-theta, in order of rising 2θ:
2θ 15.05, intensity 100.0
2θ 19.07, intensity 30.4
2θ 20.25, intensity 50.2
2θ 25.33, intensity 72.7
2θ 27.95, intensity 20.0
2θ 31.14, intensity 16.6
2θ 32.64, intensity 18.5
2θ 36.78, intensity 56.4
2θ 37.43, intensity 34.9
2θ 41.17, intensity 15.5
2θ 44.07, intensity 41.2
2θ 52.50, intensity 16.6

Atomic structure:
```
Li9Mg4Ag
1.0
8.7704 0.0000 0.0000
-4.3852 7.5954 0.0000
0.0000 0.0000 9.3091
Li Mg Ag
18 8 2
Cartesian
-1.7689 4.0423 2.3273 Li
0.0000 3.0898 5.1198 Li
0.0000 3.0898 8.8438 Li
-1.7094 6.0505 5.1198 Li
-1.7094 6.0505 8.8438 Li
2.6758 1.5449 0.4653 Li
2.6758 1.5449 4.1893 Li
1.7689 4.0423 2.3273 Li
0.0000 7.1062 2.3273 Li
4.3852 0.4892 6.9818 Li
2.6163 3.5531 6.9818 Li
1.7094 6.0505 5.1198 Li
1.7094 6.0505 8.8438 Li
6.0946 1.5449 0.4653 Li
6.0946 1.5449 4.1893 Li
4.3852 4.5056 0.4653 Li
4.3852 4.5056 4.1893 Li
6.1541 3.5531 6.9818 Li
0.0000 0.0000 0.0000 Mg
0.0000 0.0000 4.6546 Mg
0.0000 1.7959 2.3273 Mg
-2.8300 6.6975 2.3273 Mg
1.5553 0.8979 6.9818 Mg
2.8300 6.6975 2.3273 Mg
7.2152 0.8979 6.9818 Mg
4.3852 5.7995 6.9818 Mg
0.0000 5.0636 6.9818 Ag
4.3852 2.5318 2.3273 Ag
```

For LiMg3Ag4, a cell relaxed with PBE gives the computed X-ray powder pattern in this record (a wavelength of 1.5418 Å).

Most intense lines, 15 to 90 degrees two-theta, in order of rising 2θ:
2θ 26.71, intensity 31.8
2θ 27.23, intensity 61.1
2θ 38.51, intensity 100.0
2θ 38.89, intensity 49.1
2θ 47.81, intensity 24.9
2θ 56.17, intensity 16.0
2θ 62.46, intensity 10.4
2θ 63.26, intensity 10.3
2θ 63.52, intensity 10.2
2θ 69.42, intensity 15.9
2θ 70.17, intensity 31.4
2θ 82.54, intensity 9.8

Atomic structure:
```
LiMg3Ag4
1.0
7.0625 -2.3158 0.0000
7.0625 2.3158 0.0000
-1.5135 0.0000 4.3772
Li Mg Ag
1 3 4
Cartesian
0.0000 0.0000 0.0000 Li
3.1364 0.0000 1.0892 Mg
6.3057 0.0000 2.1886 Mg
9.4750 0.0000 3.2880 Mg
0.7760 0.0000 2.7209 Ag
4.0161 0.0000 3.8451 Ag
8.5953 0.0000 0.5321 Ag
11.8354 0.0000 1.6564 Ag
```